The following is a theoretical powder diffraction line list of Mg5Zn3. It was derived from a crystal structure in Alexandria, relaxed with PBE, using copper Kα.
Lines closer than 0.1° are merged.

Largest 10 diffraction maxima, by angle, 5 to 70 degrees two-theta:
24.00 deg, I = 33; 24.40 deg, I = 45; 26.50 deg, I = 77; 35.90 deg, I = 50; 37.17 deg, I = 86; 37.76 deg, I = 87; 37.95 deg, I = 100; 38.90 deg, I = 38; 39.27 deg, I = 74; 46.33 deg, I = 30

Cell and atoms:
a = 8.0344 Å, b = 8.0344 Å, c = 7.8603 Å
α = 95.92°, β = 95.92°, γ = 139.54°
Sites, in units of the cell vectors:
Mg1 0.0635 0.7056 0.7961
Mg2 0.2251 0.4296 0.6421
Mg3 0.2530 0.2530 0.0069
Mg4 0.2944 0.9365 0.2039
Mg5 0.4296 0.2251 0.6421
Mg6 0.5704 0.7749 0.3579
Mg7 0.7056 0.0635 0.7961
Mg8 0.7470 0.7470 0.9931
Mg9 0.7749 0.5704 0.3579
Mg10 0.9365 0.2944 0.2039
Zn1 0.1226 0.1226 0.3339
Zn2 0.2487 0.7513 0.5000
Zn3 0.3355 0.6645 0.0000
Zn4 0.6645 0.3355 0.0000
Zn5 0.7513 0.2487 0.5000
Zn6 0.8774 0.8774 0.6661



The following is a theoretical powder diffraction line list of Mg2Zn5. It was derived from a crystal structure in Alexandria, relaxed with PBE, using copper Kα.
Lines closer than 0.1° are merged.

Largest 10 diffraction maxima, by angle, 5 to 70 degrees two-theta:
14.23 deg, I = 16; 14.83 deg, I = 31; 25.10 deg, I = 54; 35.51 deg, I = 33; 38.49 deg, I = 25; 39.22 deg, I = 100; 41.85 deg, I = 95; 43.55 deg, I = 82; 45.54 deg, I = 19; 53.87 deg, I = 16

Cell and atoms:
a = 7.6251 Å, b = 7.6251 Å, c = 7.6251 Å
α = 126.97°, β = 70.52°, γ = 137.05°
Sites, in units of the cell vectors:
Mg1 0.0921 0.1700 0.2621
Mg2 0.4079 0.6700 0.0780
Mg3 0.5921 0.3300 0.9220
Mg4 0.9079 0.8300 0.7379
Zn1 0.0178 0.7500 0.2678
Zn2 0.1315 0.7597 0.8913
Zn3 0.2500 0.7500 0.5000
Zn4 0.3685 0.2597 0.6282
Zn5 0.4822 0.7500 0.7322
Zn6 0.5178 0.2500 0.2678
Zn7 0.6315 0.7403 0.3718
Zn8 0.7500 0.2500 0.5000
Zn9 0.8685 0.2403 0.1087
Zn10 0.9822 0.2500 0.7322